Calculated XRD peak list
Compound: PuPaS3
Radiation: copper Kα
Structure: a cell relaxed with GGA-PBE

The 10 most intense peaks (10° ≤ 2θ ≤ 80°), in order of rising 2θ:
two_theta, I_rel, hkl
14.49, 100, 1 0 0
25.23, 73, 1 1 0
25.35, 17, 0 0 2
29.29, 32, 1 0 2
36.07, 85, 1 1 2
39.03, 40, 2 0 2
44.46, 23, 3 0 0
51.84, 37, 2 2 0
58.53, 17, 2 2 2
76.36, 18, 4 1 2

Crystal structure
abc: 7.0590 7.0590 7.0281
angles: 90.00 90.00 120.00
Atoms (fractional coordinates):
Pu (0.0000, 0.0000, 0.0000)
Pu (0.0000, 0.0000, 0.5000)
Pa (0.3333, 0.6667, 0.0000)
Pa (0.3333, 0.6667, 0.5000)
S (0.0858, 0.3399, 0.2500)
S (0.0858, 0.7459, 0.7500)
S (0.2541, 0.3399, 0.7500)
S (0.2541, 0.9142, 0.2500)
S (0.6601, 0.7459, 0.2500)
S (0.6601, 0.9142, 0.7500)